# K2VH2F6
Computed powder diffraction line list, a wavelength of 1.5418 Å. Input: a crystal structure in Alexandria, relaxed with GGA+U.
Kinematic intensities with the Lorentz-polarization factor, no thermal factor.

Peak list (6 most intense, 2θ from 5° to 70°, in order of falling intensity)
d/Å  Rel. int.
2.158  1000
2.301  442
3.034  380
2.506  351
2.680  346
2.795  343

a b c (Å): 5.409 5.409 6.569
angles (deg): 118.36 118.36 64.93
Fractional positions:
K (0.237, 0.237, 0.195)
K (0.763, 0.763, 0.805)
V (0.000, 0.000, 0.500)
H (0.381, 0.381, 0.752)
H (0.619, 0.619, 0.248)
F (0.232, 0.729, 0.710)
F (0.271, 0.768, 0.290)
F (0.287, 0.287, 0.784)
F (0.713, 0.713, 0.216)
F (0.729, 0.232, 0.710)
F (0.768, 0.271, 0.290)